The following is a computed powder XRD pattern of Li4NiIr. It was derived from a cell relaxed with PBE, using Cu Kα (λ = 1.5418 Å).

Cell and atoms:
```
data_Li4NiIr
_chemical_formula_sum 'Li8 Ni2 Ir2'
_symmetry_space_group_name_H-M 'P 1'
_symmetry_Int_Tables_number 1
_cell_length_a 4.740
_cell_length_b 4.740
_cell_length_c 6.430
_cell_angle_alpha 90.00
_cell_angle_beta 90.00
_cell_angle_gamma 90.00
loop_
_symmetry_equiv_pos_as_xyz
'x,y,z'
loop_
_atom_site_label
_atom_site_fract_x
_atom_site_fract_y
_atom_site_fract_z
Li1 0.049 0.252 0.374
Li2 0.248 0.549 0.126
Li3 0.252 0.951 0.626
Li4 0.451 0.248 0.874
Li5 0.549 0.752 0.874
Li6 0.748 0.049 0.626
Li7 0.752 0.451 0.126
Li8 0.951 0.748 0.374
Ni1 0.000 0.500 0.750
Ni2 0.500 0.000 0.250
Ir1 0.000 0.000 0.000
Ir2 0.500 0.500 0.500
```

Most intense lines, 10° ≤ 2θ ≤ 80°, by angle:
Position (°2θ)	d (Å)	Rel. int.
23.31	3.815	100
26.60	3.352	15
37.97	2.370	25
38.81	2.320	48
45.03	2.013	42
46.50	1.953	19
61.53	1.507	14
69.15	1.359	17
70.83	1.330	8
73.53	1.288	10

The following is a computed powder XRD pattern of LiPr2NiIr2. It was derived from a cell relaxed with PBE, using Cu Kα (λ = 1.5418 Å).

Cell and atoms:
```
data_LiPr2NiIr2
_chemical_formula_sum 'Li2 Pr4 Ni2 Ir4'
_symmetry_space_group_name_H-M 'P 1'
_symmetry_Int_Tables_number 1
_cell_length_a 8.212
_cell_length_b 8.212
_cell_length_c 8.212
_cell_angle_alpha 138.41
_cell_angle_beta 59.85
_cell_angle_gamma 138.97
loop_
_symmetry_equiv_pos_as_xyz
'x,y,z'
loop_
_atom_site_label
_atom_site_fract_x
_atom_site_fract_y
_atom_site_fract_z
Li1 0.250 0.250 0.000
Li2 0.750 0.750 0.000
Pr1 0.167 0.244 0.411
Pr2 0.333 0.744 0.078
Pr3 0.667 0.256 0.922
Pr4 0.833 0.756 0.589
Ni1 0.250 0.750 0.500
Ni2 0.750 0.250 0.500
Ir1 0.115 0.738 0.854
Ir2 0.385 0.238 0.623
Ir3 0.615 0.762 0.377
Ir4 0.885 0.262 0.146
```

Most intense lines, 10° ≤ 2θ ≤ 80°, by angle:
Position (°2θ)	d (Å)	Rel. int.
25.04	3.556	100
30.67	2.915	81
31.08	2.878	79
33.35	2.686	85
39.98	2.255	76
40.31	2.238	76
44.11	2.053	44
44.22	2.048	92
51.48	1.775	43
69.99	1.344	34

The following is a computed powder XRD pattern of LiZrNiIr. It was derived from a cell relaxed with PBE, using Cu Kα (λ = 1.5418 Å).

Cell and atoms:
```
data_LiZrNiIr
_chemical_formula_sum 'Li4 Zr4 Ni4 Ir4'
_symmetry_space_group_name_H-M 'P 1'
_symmetry_Int_Tables_number 1
_cell_length_a 6.233
_cell_length_b 6.233
_cell_length_c 6.233
_cell_angle_alpha 90.00
_cell_angle_beta 90.00
_cell_angle_gamma 90.00
loop_
_symmetry_equiv_pos_as_xyz
'x,y,z'
loop_
_atom_site_label
_atom_site_fract_x
_atom_site_fract_y
_atom_site_fract_z
Li1 0.000 0.000 0.000
Li2 0.000 0.500 0.500
Li3 0.500 0.000 0.500
Li4 0.500 0.500 0.000
Zr1 0.000 0.000 0.500
Zr2 0.000 0.500 0.000
Zr3 0.500 0.000 0.000
Zr4 0.500 0.500 0.500
Ni1 0.250 0.250 0.750
Ni2 0.250 0.750 0.250
Ni3 0.750 0.250 0.250
Ni4 0.750 0.750 0.750
Ir1 0.250 0.250 0.250
Ir2 0.250 0.750 0.750
Ir3 0.750 0.250 0.750
Ir4 0.750 0.750 0.250
```

Most intense lines, 10° ≤ 2θ ≤ 80°, by angle:
Position (°2θ)	d (Å)	Rel. int.
24.74	3.599	46
28.64	3.117	25
40.95	2.204	100
48.44	1.879	23
50.74	1.799	7
59.30	1.558	17
65.25	1.430	10
67.16	1.394	9
74.59	1.272	33
79.98	1.200	8

The following is a computed powder XRD pattern of Li3Ir4O12. It was derived from a cell relaxed with PBE, using Cu Kα (λ = 1.5418 Å).

Cell and atoms:
```
data_Li3Ir4O12
_chemical_formula_sum 'Li3 Ir4 O12'
_symmetry_space_group_name_H-M 'P 1'
_symmetry_Int_Tables_number 1
_cell_length_a 6.408
_cell_length_b 6.408
_cell_length_c 6.408
_cell_angle_alpha 109.47
_cell_angle_beta 109.47
_cell_angle_gamma 109.47
loop_
_symmetry_equiv_pos_as_xyz
'x,y,z'
loop_
_atom_site_label
_atom_site_fract_x
_atom_site_fract_y
_atom_site_fract_z
Li1 0.000 0.500 0.500
Li2 0.500 0.000 0.500
Li3 0.500 0.500 0.000
Ir1 0.000 0.000 0.500
Ir2 0.000 0.500 0.000
Ir3 0.500 0.000 0.000
Ir4 0.500 0.500 0.500
O1 0.126 0.310 0.815
O2 0.185 0.495 0.310
O3 0.185 0.874 0.690
O4 0.310 0.185 0.495
O5 0.310 0.815 0.126
O6 0.495 0.310 0.185
O7 0.505 0.690 0.815
O8 0.690 0.185 0.874
O9 0.690 0.815 0.505
O10 0.815 0.126 0.310
O11 0.815 0.505 0.690
O12 0.874 0.690 0.185
```

Most intense lines, 10° ≤ 2θ ≤ 80°, by angle:
Position (°2θ)	d (Å)	Rel. int.
24.05	3.700	100
34.28	2.616	69
38.47	2.340	2
42.31	2.136	22
45.89	1.978	1
49.26	1.850	17
55.54	1.655	43
61.38	1.510	33
72.23	1.308	10
77.38	1.233	18

The following is a computed powder XRD pattern of Li4Ir2O9. It was derived from a cell relaxed with PBE, using Cu Kα (λ = 1.5418 Å).

Cell and atoms:
```
data_Li4Ir2O9
_chemical_formula_sum 'Li8 Ir4 O18'
_symmetry_space_group_name_H-M 'P 1'
_symmetry_Int_Tables_number 1
_cell_length_a 5.145
_cell_length_b 5.145
_cell_length_c 13.913
_cell_angle_alpha 90.00
_cell_angle_beta 90.00
_cell_angle_gamma 120.00
loop_
_symmetry_equiv_pos_as_xyz
'x,y,z'
loop_
_atom_site_label
_atom_site_fract_x
_atom_site_fract_y
_atom_site_fract_z
Li1 0.333 0.667 0.197
Li2 0.333 0.667 0.488
Li3 0.333 0.667 0.697
Li4 0.333 0.667 0.988
Li5 0.667 0.333 0.012
Li6 0.667 0.333 0.303
Li7 0.667 0.333 0.512
Li8 0.667 0.333 0.803
Ir1 0.000 0.000 0.146
Ir2 0.000 0.000 0.354
Ir3 0.000 0.000 0.646
Ir4 0.000 0.000 0.854
O1 0.000 0.277 0.250
O2 0.000 0.723 0.750
O3 0.018 0.319 0.581
O4 0.018 0.699 0.081
O5 0.277 0.000 0.250
O6 0.277 0.277 0.750
O7 0.301 0.319 0.081
O8 0.301 0.982 0.581
O9 0.319 0.018 0.919
O10 0.319 0.301 0.419
O11 0.681 0.699 0.581
O12 0.681 0.982 0.081
O13 0.699 0.018 0.419
O14 0.699 0.681 0.919
O15 0.723 0.000 0.750
O16 0.723 0.723 0.250
O17 0.982 0.301 0.919
O18 0.982 0.681 0.419
```

Most intense lines, 10° ≤ 2θ ≤ 80°, by angle:
Position (°2θ)	d (Å)	Rel. int.
19.93	4.455	100
25.61	3.478	11
32.66	2.742	42
34.88	2.572	18
40.49	2.228	13
43.77	2.068	18
48.53	1.876	15
53.18	1.722	12
54.49	1.684	12
61.15	1.516	15

The following is a computed powder XRD pattern of LiPaIrO4. It was derived from a cell relaxed with PBE, using Cu Kα (λ = 1.5418 Å).

Cell and atoms:
```
data_LiPaIrO4
_chemical_formula_sum 'Li2 Pa2 Ir2 O8'
_symmetry_space_group_name_H-M 'P 1'
_symmetry_Int_Tables_number 1
_cell_length_a 6.801
_cell_length_b 6.801
_cell_length_c 6.801
_cell_angle_alpha 132.68
_cell_angle_beta 120.29
_cell_angle_gamma 79.50
loop_
_symmetry_equiv_pos_as_xyz
'x,y,z'
loop_
_atom_site_label
_atom_site_fract_x
_atom_site_fract_y
_atom_site_fract_z
Li1 0.419 0.169 0.250
Li2 0.581 0.831 0.750
Pa1 0.000 0.500 0.500
Pa2 0.500 0.500 0.000
Ir1 0.000 0.000 0.500
Ir2 0.000 0.500 0.000
O1 0.195 0.722 0.472
O2 0.250 0.278 0.972
O3 0.293 0.307 0.514
O4 0.293 0.778 0.986
O5 0.707 0.222 0.014
O6 0.707 0.693 0.486
O7 0.750 0.722 0.028
O8 0.805 0.278 0.528
```

Most intense lines, 10° ≤ 2θ ≤ 80°, by angle:
Position (°2θ)	d (Å)	Rel. int.
15.59	5.684	87
18.34	4.839	100
28.81	3.099	30
31.48	2.842	64
32.27	2.774	50
34.30	2.614	41
37.16	2.419	41
42.55	2.125	49
54.20	1.692	26
55.75	1.649	42

The following is a computed powder XRD pattern of LiIrPbO6. It was derived from a cell relaxed with PBE, using Cu Kα (λ = 1.5418 Å).

Cell and atoms:
```
data_LiIrPbO6
_chemical_formula_sum 'Li2 Ir2 Pb2 O12'
_symmetry_space_group_name_H-M 'P 1'
_symmetry_Int_Tables_number 1
_cell_length_a 5.525
_cell_length_b 5.525
_cell_length_c 8.705
_cell_angle_alpha 90.00
_cell_angle_beta 90.00
_cell_angle_gamma 120.00
loop_
_symmetry_equiv_pos_as_xyz
'x,y,z'
loop_
_atom_site_label
_atom_site_fract_x
_atom_site_fract_y
_atom_site_fract_z
Li1 0.000 0.000 0.000
Li2 0.000 0.000 0.500
Ir1 0.333 0.667 0.250
Ir2 0.667 0.333 0.750
Pb1 0.333 0.667 0.750
Pb2 0.667 0.333 0.250
O1 0.049 0.380 0.127
O2 0.049 0.669 0.373
O3 0.331 0.380 0.373
O4 0.331 0.951 0.127
O5 0.380 0.049 0.627
O6 0.380 0.331 0.873
O7 0.620 0.669 0.127
O8 0.620 0.951 0.373
O9 0.669 0.049 0.873
O10 0.669 0.620 0.627
O11 0.951 0.331 0.627
O12 0.951 0.620 0.873
```

Most intense lines, 10° ≤ 2θ ≤ 80°, by angle:
Position (°2θ)	d (Å)	Rel. int.
18.54	4.785	79
20.41	4.352	80
27.71	3.220	62
32.41	2.763	63
38.60	2.332	100
43.15	2.097	19
53.61	1.710	48
54.98	1.670	19
57.80	1.595	21
61.96	1.498	25

The following is a computed powder XRD pattern of Li2PmIrO4. It was derived from a cell relaxed with PBE, using Cu Kα (λ = 1.5418 Å).

Cell and atoms:
```
data_Li2PmIrO4
_chemical_formula_sum 'Li4 Pm2 Ir2 O8'
_symmetry_space_group_name_H-M 'P 1'
_symmetry_Int_Tables_number 1
_cell_length_a 5.575
_cell_length_b 5.575
_cell_length_c 6.391
_cell_angle_alpha 90.00
_cell_angle_beta 90.00
_cell_angle_gamma 90.00
loop_
_symmetry_equiv_pos_as_xyz
'x,y,z'
loop_
_atom_site_label
_atom_site_fract_x
_atom_site_fract_y
_atom_site_fract_z
Li1 0.000 0.500 0.250
Li2 0.000 0.500 0.750
Li3 0.500 0.000 0.250
Li4 0.500 0.000 0.750
Pm1 0.000 0.000 0.000
Pm2 0.500 0.500 0.500
Ir1 0.000 0.000 0.500
Ir2 0.500 0.500 0.000
O1 0.232 0.232 0.633
O2 0.232 0.768 0.367
O3 0.268 0.268 0.133
O4 0.268 0.732 0.867
O5 0.732 0.268 0.867
O6 0.732 0.732 0.133
O7 0.768 0.232 0.367
O8 0.768 0.768 0.633
```

Most intense lines, 10° ≤ 2θ ≤ 80°, by angle:
Position (°2θ)	d (Å)	Rel. int.
22.55	3.942	100
27.92	3.196	28
32.11	2.788	30
36.18	2.482	70
43.06	2.101	38
46.05	1.971	23
51.86	1.763	21
54.71	1.678	18
59.92	1.544	32
67.58	1.386	14